Starting from a structure optimized by DFT (GGA-PBE), the X-ray diffraction stick pattern of TaSbSe4 was calculated for Cu Kα X-rays.

Peak list (10 most intense, 10° ≤ 2θ ≤ 80°, most intense first)
6.658 Å, I 100; 2.972 Å, I 80; 3.000 Å, I 38; 2.361 Å, I 35; 1.950 Å, I 27; 1.825 Å, I 23; 2.320 Å, I 19; 2.344 Å, I 18; 1.877 Å, I 13; 1.894 Å, I 12

Structure:
a = 3.7539 Å, b = 6.8506 Å, c = 7.6113 Å
α = 65.29°, β = 75.81°, γ = 90.00°
Space group P-1 (No. 2)
Unique sites:
Ta: 0.0000 0.0000 0.0000
Sb: 0.5000 0.5000 0.0000
Se: 0.1170 0.8098 0.7647
Se: 0.3866 0.7385 0.2281

***

Starting from a structure optimized by DFT (GGA-PBE), the X-ray diffraction stick pattern of Tb5Sb2Se2 was calculated for Cu Kα X-rays.

Peak list (10 most intense, 10° ≤ 2θ ≤ 80°, most intense first)
2.897 Å, I 100; 2.488 Å, I 80; 2.566 Å, I 65; 2.464 Å, I 52; 1.407 Å, I 30; 3.196 Å, I 26; 2.807 Å, I 21; 3.537 Å, I 16; 2.710 Å, I 15; 1.915 Å, I 14

Structure:
a = 14.9133 Å, b = 7.8892 Å, c = 7.9932 Å
α = 90.00°, β = 90.00°, γ = 90.00°
Space group Cmce (No. 64)
Unique sites:
Tb: 0.0000 0.0000 0.0000
Tb: 0.1424 0.1615 0.3470
Sb: 0.0000 0.1433 0.6439
Se: 0.1947 0.0000 0.0000

***

Starting from a structure optimized by DFT (GGA-PBE), the X-ray diffraction stick pattern of TcSbSe2 was calculated for Cu Kα X-rays.

Peak list (10 most intense, 10° ≤ 2θ ≤ 80°, most intense first)
2.702 Å, I 100; 1.903 Å, I 72; 2.682 Å, I 67; 1.758 Å, I 20; 2.329 Å, I 20; 1.554 Å, I 19; 1.411 Å, I 18; 1.201 Å, I 14; 4.657 Å, I 14; 1.659 Å, I 12

Structure:
a = 5.3600 Å, b = 9.3170 Å, c = 3.3174 Å
α = 90.00°, β = 90.00°, γ = 90.00°
Space group Cmmm (No. 65)
Unique sites:
Tc: 0.0000 0.0000 0.0000
Sb: 0.0000 0.5000 0.0000
Se: 0.0000 0.2043 0.5000

***

Starting from a structure optimized by DFT (GGA-PBE), the X-ray diffraction stick pattern of Sb2TeSe was calculated for Cu Kα X-rays.

Peak list (10 most intense, 10° ≤ 2θ ≤ 80°, most intense first)
3.072 Å, I 100; 2.188 Å, I 75; 3.118 Å, I 51; 1.782 Å, I 40; 2.172 Å, I 38; 1.257 Å, I 19; 1.374 Å, I 17; 1.378 Å, I 17; 1.390 Å, I 16; 1.536 Å, I 13

Structure:
a = 13.2003 Å, b = 4.3435 Å, c = 4.3455 Å
α = 90.00°, β = 109.12°, γ = 90.00°
Space group Cm (No. 8)
Unique sites:
Sb: 0.0000 0.0000 0.0000
Sb: 0.2482 0.0000 0.2495
Te: 0.4969 0.0000 0.4973
Se: 0.2618 0.5000 0.7628

***

Starting from a structure optimized by DFT (GGA-PBE), the X-ray diffraction stick pattern of Sb4Te3Se3 was calculated for Cu Kα X-rays.

Peak list (10 most intense, 10° ≤ 2θ ≤ 80°, most intense first)
3.137 Å, I 100; 2.099 Å, I 38; 2.360 Å, I 25; 1.995 Å, I 18; 1.744 Å, I 18; 2.653 Å, I 15; 1.342 Å, I 15; 5.172 Å, I 11; 1.333 Å, I 10; 1.256 Å, I 7

Structure:
a = 20.8319 Å, b = 4.1961 Å, c = 7.2745 Å
α = 90.00°, β = 96.78°, γ = 90.00°
Space group Cm (No. 8)
Unique sites:
Sb: 0.0000 0.0000 0.0000
Sb: 0.0016 0.5000 0.4993
Sb: 0.1757 0.0000 0.3959
Sb: 0.1785 0.5000 0.8857
Te: 0.2626 0.0000 0.0860
Te: 0.4153 0.0000 0.8029
Te: 0.4154 0.5000 0.3048
Se: 0.0886 0.0000 0.6947
Se: 0.0897 0.5000 0.1972
Se: 0.2494 0.5000 0.5843

***

Starting from a structure optimized by DFT (GGA-PBE), the X-ray diffraction stick pattern of Th4SbTeSe2 was calculated for Cu Kα X-rays.

Peak list (10 most intense, 10° ≤ 2θ ≤ 80°, most intense first)
3.082 Å, I 100; 2.178 Å, I 51; 1.791 Å, I 14; 3.582 Å, I 14; 2.203 Å, I 13; 1.768 Å, I 13; 3.536 Å, I 13; 2.160 Å, I 12; 1.377 Å, I 12; 1.379 Å, I 11

Structure:
a = 8.6387 Å, b = 12.3093 Å, c = 8.8110 Å
α = 90.00°, β = 90.00°, γ = 90.00°
Space group Fmm2 (No. 42)
Unique sites:
Th: 0.0000 0.2496 0.0000
Th: 0.2328 0.0000 0.2536
Sb: 0.0000 0.0000 0.9865
Te: 0.0000 0.0000 0.5209
Se: 0.2500 0.2500 0.2504

***

Starting from a structure optimized by DFT (GGA-PBE), the X-ray diffraction stick pattern of Tm8SbTe4Se3 was calculated for Cu Kα X-rays.

Peak list (10 most intense, 10° ≤ 2θ ≤ 80°, most intense first)
2.976 Å, I 100; 2.094 Å, I 38; 2.114 Å, I 34; 1.712 Å, I 19; 1.326 Å, I 16; 1.336 Å, I 12; 1.213 Å, I 11; 1.488 Å, I 11; 3.425 Å, I 7; 1.209 Å, I 6

Structure:
a = 8.3760 Å, b = 8.3760 Å, c = 20.8151 Å
α = 90.00°, β = 90.00°, γ = 120.00°
Space group R-3m (No. 166, hexagonal axes)
Unique sites:
Tm: 0.0000 0.0000 0.2378
Tm: 0.0136 0.5068 0.7598
Sb: 0.0000 0.0000 0.5000
Te: 0.0000 0.0000 0.0000
Te: 0.0000 0.5000 0.0000
Se: 0.0000 0.5000 0.5000

***

Starting from a structure optimized by DFT (GGA-PBE), the X-ray diffraction stick pattern of Th8SbSe6 was calculated for Cu Kα X-rays.

Peak list (10 most intense, 10° ≤ 2θ ≤ 80°, most intense first)
3.132 Å, I 100; 2.705 Å, I 94; 3.308 Å, I 88; 3.120 Å, I 70; 2.606 Å, I 54; 2.274 Å, I 53; 1.915 Å, I 51; 1.278 Å, I 36; 2.087 Å, I 26; 1.737 Å, I 26

Structure:
a = 10.8483 Å, b = 10.8483 Å, c = 4.1746 Å
α = 90.00°, β = 90.00°, γ = 120.00°
Space group P-3 (No. 147)
Unique sites:
Th: 0.0403 0.3158 0.2558
Th: 0.3333 0.6667 0.7476
Sb: 0.0000 0.0000 0.5000
Se: 0.1246 0.6357 0.2478

***

What did the seventh record say?
Starting from a structure optimized by DFT (GGA-PBE), the X-ray diffraction stick pattern of Tm8SbTe4Se3 was calculated for Cu Kα X-rays.

Peak list (10 most intense, 10° ≤ 2θ ≤ 80°, most intense first)
2.976 Å, I 100; 2.094 Å, I 38; 2.114 Å, I 34; 1.712 Å, I 19; 1.326 Å, I 16; 1.336 Å, I 12; 1.213 Å, I 11; 1.488 Å, I 11; 3.425 Å, I 7; 1.209 Å, I 6

Structure:
a = 8.3760 Å, b = 8.3760 Å, c = 20.8151 Å
α = 90.00°, β = 90.00°, γ = 120.00°
Space group R-3m (No. 166, hexagonal axes)
Unique sites:
Tm: 0.0000 0.0000 0.2378
Tm: 0.0136 0.5068 0.7598
Sb: 0.0000 0.0000 0.5000
Te: 0.0000 0.0000 0.0000
Te: 0.0000 0.5000 0.0000
Se: 0.0000 0.5000 0.5000